No. 1
This entry pairs a crystal structure of LiFeP with its computed PXRD pattern. Radiation: Cu Ka. Structure: DFT lattice parameters and positions (GGA-PBE).

Structure:
Cell: 3.6993 3.6993 5.8722 Å, 90.00 90.00 90.00°
Space group P4/nmm (No. 129, origin choice 2)
One atom of each set of equivalent atoms:
Li (0.2500, 0.2500, 0.1524)
Fe (0.2500, 0.7500, 0.5000)
P (0.2500, 0.2500, 0.7072)

Largest 10 diffraction maxima, sorted by position, 15° ≤ 2θ ≤ 90°:
- d = 5.872 Å, 15.09°, I = 100, (0 0 1)
- d = 3.130 Å, 28.52°, I = 14, (1 0 1)
- d = 2.389 Å, 37.64°, I = 27, (1 1 1)
- d = 1.953 Å, 46.50°, I = 37, (1 1 2)
- d = 1.850 Å, 49.26°, I = 18, (2 0 0)
- d = 1.764 Å, 51.82°, I = 14, (2 0 1)
- d = 1.567 Å, 58.95°, I = 15, (1 1 3)
- d = 1.308 Å, 72.23°, I = 5, (2 2 0)
- d = 1.277 Å, 74.30°, I = 4, (2 2 1)
- d = 1.147 Å, 84.44°, I = 4, (3 1 1)



No. 2
This entry pairs a crystal structure of LiFeP with its computed PXRD pattern. Radiation: Cu Ka. Structure: DFT lattice parameters and positions (GGA-PBE).

Structure:
Cell: 2.8478 2.8478 8.2984 Å, 90.00 90.00 90.00°
Space group I4mm (No. 107)
One atom of each set of equivalent atoms:
Li (0.0000, 0.0000, 0.0000)
Fe (0.0000, 0.0000, 0.6953)
P (0.0000, 0.0000, 0.3175)

Largest 10 diffraction maxima, sorted by position, 15° ≤ 2θ ≤ 90°:
- d = 4.149 Å, 21.42°, I = 100, (0 0 2)
- d = 2.694 Å, 33.26°, I = 48, (1 0 1)
- d = 2.014 Å, 45.02°, I = 58, (1 1 0)
- d = 1.984 Å, 45.73°, I = 95, (1 0 3)
- d = 1.812 Å, 50.37°, I = 35, (1 1 2)
- d = 1.434 Å, 65.04°, I = 25, (1 0 5)
- d = 1.424 Å, 65.56°, I = 17, (2 0 0)
- d = 1.347 Å, 69.84°, I = 12, (2 0 2)
- d = 1.157 Å, 83.58°, I = 29, (2 1 3)
- d = 1.140 Å, 85.10°, I = 8, (1 1 6)



No. 3
This entry pairs a crystal structure of LiFeP with its computed PXRD pattern. Radiation: Cu Ka. Structure: DFT lattice parameters and positions (GGA-PBE).

Structure:
Cell: 3.6861 11.3488 3.7536 Å, 90.00 90.00 90.00°
Space group Cmcm (No. 63)
One atom of each set of equivalent atoms:
Li (0.0000, 0.0812, 0.2500)
Fe (0.0000, 0.2488, 0.7500)
P (0.0000, 0.3551, 0.2500)

Largest 10 diffraction maxima, sorted by position, 15° ≤ 2θ ≤ 90°:
- d = 5.674 Å, 15.62°, I = 100, (0 2 0)
- d = 3.131 Å, 28.51°, I = 8, (0 2 1)
- d = 2.562 Å, 35.02°, I = 13, (1 1 1)
- d = 2.159 Å, 41.83°, I = 43, (1 3 1)
- d = 1.877 Å, 48.51°, I = 10, (0 0 2)
- d = 1.843 Å, 49.45°, I = 10, (2 0 0)
- d = 1.782 Å, 51.27°, I = 8, (0 2 2)
- d = 1.753 Å, 52.18°, I = 8, (2 2 0)
- d = 1.718 Å, 53.31°, I = 25, (1 5 1)
- d = 1.131 Å, 85.94°, I = 7, (1 3 3)



No. 4
This entry pairs a crystal structure of Li2Fe12P7 with its computed PXRD pattern. Radiation: Cu Ka. Structure: DFT lattice parameters and positions (GGA-PBE).

Structure:
Cell: 8.8705 8.8705 3.5524 Å, 90.00 90.00 120.00°
Space group P-6 (No. 174)
One atom of each set of equivalent atoms:
Li (0.0000, 0.0000, 0.0000)
Li (0.3333, 0.6667, 0.5000)
Fe (0.0564, 0.7658, 0.5000)
Fe (0.0983, 0.3826, 0.0000)
Fe (0.3902, 0.2172, 0.0000)
Fe (0.5405, 0.1130, 0.5000)
P (0.0811, 0.6199, 0.0000)
P (0.2599, 0.0481, 0.5000)
P (0.6667, 0.3333, 0.0000)

Largest 10 diffraction maxima, sorted by position, 15° ≤ 2θ ≤ 90°:
- d = 4.435 Å, 20.02°, I = 42, (1 1 0)
- d = 2.248 Å, 40.11°, I = 100, (1 2 1)
- d = 2.077 Å, 43.57°, I = 19, (3 0 1)
- d = 1.827 Å, 49.91°, I = 51, (3 1 1)
- d = 1.776 Å, 51.45°, I = 27, (0 0 2)
- d = 1.762 Å, 51.88°, I = 23, (2 3 0)
- d = 1.689 Å, 54.30°, I = 11, (4 0 1)
- d = 1.676 Å, 54.76°, I = 21, (4 1 0)
- d = 1.251 Å, 76.08°, I = 13, (2 3 2)
- d = 1.219 Å, 78.45°, I = 14, (4 1 2)



No. 5
This entry pairs a crystal structure of Li2FeP2S6 with its computed PXRD pattern. Radiation: Cu Ka. Structure: DFT lattice parameters and positions (GGA-PBE).

Structure:
Cell: 6.0220 10.4358 6.6752 Å, 90.00 90.31 90.00°
Space group C2 (No. 5)
One atom of each set of equivalent atoms:
Li (0.0000, 0.9996, 0.0000)
Li (0.0000, 0.0000, 0.5000)
Fe (0.0000, 0.6732, 0.0000)
P (0.0010, 0.3325, 0.1666)
S (0.1574, 0.5003, 0.7594)
S (0.1680, 0.8248, 0.7601)
S (0.1729, 0.1707, 0.7632)

Largest 10 diffraction maxima, sorted by position, 15° ≤ 2θ ≤ 90°:
- d = 5.217 Å, 17.00°, I = 36, (0 2 0)
- d = 4.110 Å, 21.62°, I = 31, (0 2 1)
- d = 3.338 Å, 26.71°, I = 30, (0 0 2)
- d = 2.815 Å, 31.79°, I = 16, (1 1 -2)
- d = 2.748 Å, 32.59°, I = 100, (1 3 -1)
- d = 2.739 Å, 32.69°, I = 42, (2 0 1)
- d = 2.240 Å, 40.27°, I = 22, (1 3 -2)
- d = 2.231 Å, 40.42°, I = 17, (2 0 2)
- d = 2.049 Å, 44.20°, I = 15, (1 1 -3)
- d = 1.739 Å, 52.64°, I = 47, (3 3 0)



No. 6
This entry pairs a crystal structure of Li2FeP2S6 with its computed PXRD pattern. Radiation: Cu Ka. Structure: DFT lattice parameters and positions (GGA-PBE).

Structure:
Cell: 5.8562 5.8562 6.5654 Å, 90.00 90.00 120.00°
Space group P312 (No. 149)
One atom of each set of equivalent atoms:
Li (0.0000, 0.0000, 0.0000)
Li (0.0000, 0.0000, 0.5000)
Fe (0.6667, 0.3333, 0.0000)
P (0.3333, 0.6667, 0.1656)
S (0.3641, 0.0242, 0.2322)

Largest 10 diffraction maxima, sorted by position, 15° ≤ 2θ ≤ 90°:
- d = 5.072 Å, 17.49°, I = 35, (1 0 0)
- d = 4.014 Å, 22.15°, I = 25, (1 0 1)
- d = 3.283 Å, 27.16°, I = 22, (0 0 2)
- d = 2.756 Å, 32.49°, I = 12, (1 0 2)
- d = 2.674 Å, 33.51°, I = 100, (2 -1 1)
- d = 2.185 Å, 41.32°, I = 31, (2 -1 2)
- d = 2.008 Å, 45.15°, I = 25, (2 0 2)
- d = 1.753 Å, 52.18°, I = 18, (1 1 3)
- d = 1.691 Å, 54.26°, I = 32, (3 0 0)
- d = 1.656 Å, 55.49°, I = 18, (2 0 3)